Theoretical powder diffraction line list of GdInPt for Cu Kα (weighted mean of Kα1 and Kα2), from a cell relaxed with PBE.
Lines closer than 0.1° are merged.

Peak list (10 most intense, 2θ from 15° to 90°, in order of rising 2θ)
| 2theta | Rel. int. |
| --- | --- |
| 30.02 | 76 |
| 32.59 | 100 |
| 33.23 | 35 |
| 37.83 | 45 |
| 39.42 | 42 |
| 41.94 | 27 |
| 54.52 | 17 |
| 57.75 | 26 |
| 60.51 | 34 |
| 69.35 | 17 |

Cell: 8.2375 8.2375 4.3082 Å, 90.00 90.00 120.00°
Space group P-62m (No. 189)
Symmetry-distinct sites (fractional):
Gd (0.0000, 0.4076, 0.0000)
In (0.0000, 0.7495, 0.5000)
Pt (0.0000, 0.0000, 0.0000)
Pt (0.3333, 0.6667, 0.5000)